This entry pairs a crystal structure of Ta4GaPN2 with its computed powder XRD pattern. Radiation: Cu Kα (λ = 1.5418 Å). Structure: a DFT-relaxed cell (PBE, OQMD).
Kinematic intensities with the Lorentz-polarization factor, no thermal factor.

Structural model:
a b c (Å): 3.0468 3.0468 13.4086
angles (deg): 90.00 90.00 120.00
Space group P-6m2 (No. 187)
One atom of each set of equivalent atoms:
Ta1 0.0000 0.0000 0.1334 x2
Ta2 0.6667 0.3333 0.3374 x2
Ga1 0.0000 0.0000 0.5000 x1
P1 0.6667 0.3333 0.0000 x1
N1 0.3333 0.6667 0.2375 x2

Peak list (10 most intense, 10 to 90 degrees two-theta, low angle first)
| index | two_theta | I/Imax |
| --- | --- | --- |
| 0 0 4 | 26.6 | 203 |
| 1 0 0 | 34.0 | 266 |
| 1 0 1 | 34.6 | 264 |
| 1 0 3 | 39.7 | 1000 |
| 0 0 6 | 40.4 | 112 |
| 1 0 4 | 43.7 | 127 |
| 1 0 6 | 53.8 | 120 |
| 1 0 7 | 59.6 | 115 |
| 1 1 0 | 60.8 | 240 |
| 2 0 3 | 75.1 | 155 |